# AlIn6Hg5
Computed PXRD pattern, Cu Kα. Input: the GGA-PBE geometry in Alexandria.

Structural model:
Cell lengths 5.7456, 7.2808, 8.5244 Å; angles 108.25, 108.61, 94.22 degrees
Space group P-1 (No. 2)
Inequivalent atoms, fractional coordinates:
Al  0.0000  0.0000  0.0000 (multiplicity 1)
In  0.2449  0.0807  0.4212 (multiplicity 2)
In  0.2477  0.3906  0.0761 (multiplicity 2)
In  0.2512  0.7776  0.7509 (multiplicity 2)
Hg  0.0160  0.3501  0.6764 (multiplicity 2)
Hg  0.4431  0.8183  0.1551 (multiplicity 2)
Hg  0.5000  0.5000  0.5000 (multiplicity 1)

The 12 most intense peaks (2θ from 10° to 90°), most intense first:
| 2theta | I (rel.) | h k l |
| --- | --- | --- |
| 30.31 | 100 | 1 2 -1 |
| 31.55 | 95 | 1 -1 2 |
| 33.43 | 84 | 1 0 -3 |
| 33.06 | 81 | -2 1 1 |
| 40.19 | 48 | 1 -3 0 |
| 41.66 | 43 | 0 2 2 |
| 43.22 | 40 | 0 3 -3 |
| 45.38 | 29 | 2 1 1 |
| 49.57 | 25 | 2 2 -4 |
| 50.29 | 21 | 3 1 -2 |
| 57.62 | 19 | 0 1 -5 |
| 56.89 | 16 | 3 -2 1 |